Structure and theoretical X-ray diffraction stick pattern of Li3Ag2P4HO14 (a cell relaxed with PBE; λ = 1.5418 Å (Cu Kα)).
Kinematic intensities with the Lorentz-polarization factor, no thermal factor.

Structure:
```
data_Li3Ag2P4HO14
_symmetry_space_group_name_H-M 'P -1'
_symmetry_Int_Tables_number 2
_cell_length_a 4.9454
_cell_length_b 4.9966
_cell_length_c 12.3511
_cell_angle_alpha 91.07
_cell_angle_beta 98.96
_cell_angle_gamma 116.32
loop_
_symmetry_equiv_pos_as_xyz
'x,y,z'
'-x,-y,-z'
loop_
_atom_site_label
_atom_site_fract_x
_atom_site_fract_y
_atom_site_fract_z
_atom_site_occupancy
Li1 0.0000 0.0000 0.0000 1
Li2 0.3808 0.2177 0.5316 1
Ag1 0.1900 0.0000 0.2635 1
P1 0.0941 0.5933 0.6367 1
P2 0.3025 0.6025 0.8750 1
H1 0.5000 0.0000 0.0000 1
O1 0.0945 0.2848 0.6261 1
O2 0.1218 0.6742 0.7679 1
O3 0.1586 0.2629 0.8786 1
O4 0.2085 0.4122 0.4136 1
O5 0.2667 0.7732 0.9714 1
O6 0.3601 0.2763 0.1372 1
O7 0.3803 0.8471 0.6036 1
```

Top 6 peaks for 10° ≤ 2θ ≤ 90°, sorted by position:
(hkl), 2θ (°), I/Imax
0 0 2, 14.59, 87.3
-1 1 1, 21.77, 91.7
1 -1 1, 22.90, 100.0
1 0 3, 32.84, 44.8
0 1 -4, 34.05, 28.5
1 1 -1, 34.23, 29.9